[1]
Calculated powder diffractogram of NiSe for Cu Kα, 1.54184 Å, from DFT lattice parameters and positions (PBE).
Lines closer than 0.1° are merged.

a b c (Å): 3.6544 3.6544 5.4302
angles (deg): 90.00 90.00 90.00
Fractional positions:
Ni  0.2500  0.7500  0.0000
Ni  0.7500  0.2500  0.0000
Se  0.2500  0.2500  0.2762
Se  0.7500  0.7500  0.7238

Peak list (10 most intense, 10° ≤ 2θ ≤ 90°, by angle)
2θ (°)  I (rel.)
16.32  47
29.46  100
38.59  47
48.64  77
49.91  38
56.76  12
59.03  27
73.26  11
73.67  11
78.92  9



[2]
Calculated powder diffractogram of SmGe2Pt for Cu Kα, 1.54184 Å, from DFT lattice parameters and positions (PBE).
Lines closer than 0.1° are merged.

a b c (Å): 9.6105 9.6105 9.6105
angles (deg): 153.46 125.41 61.70
Fractional positions:
Sm  0.2029  0.2029  0.0000
Sm  0.2412  0.0000  0.2412
Sm  0.7588  0.0000  0.7588
Sm  0.7971  0.7971  0.0000
Ge  0.0743  0.5743  0.5000
Ge  0.1518  0.8020  0.3498
Ge  0.4257  0.4257  0.0000
Ge  0.4522  0.8020  0.6502
Ge  0.5478  0.1980  0.3498
Ge  0.5743  0.5743  0.0000
Ge  0.8482  0.1980  0.6502
Ge  0.9257  0.4257  0.5000
Pt  0.1023  0.3511  0.7512
Pt  0.4001  0.6489  0.7512
Pt  0.5999  0.3511  0.2488
Pt  0.8977  0.6489  0.2488

Peak list (10 most intense, 10° ≤ 2θ ≤ 90°, by angle)
2θ (°)  I (rel.)
20.15  17
25.89  15
33.02  100
33.92  40
38.59  29
40.92  55
49.09  19
54.18  15
57.49  18
69.55  36